(1)
Theoretical powder diffractogram
Compound: V6Ge2H
Radiation: λ = 1.5418 Å (Cu Kα)
Structure: the PBE geometry in Alexandria
Lines closer than 0.1° are merged.

Cell and atoms:
Lattice parameters (Å, degrees): 3.1016 6.5555 6.5555 120.99 90.00 90.00
Sites, in units of the cell vectors:
V: 0.0000 0.0000 0.0000
V: 0.0000 0.5697 0.8064
V: 0.0000 0.8064 0.5697
V: 0.5000 0.1898 0.7799
V: 0.5000 0.3984 0.3984
V: 0.5000 0.7799 0.1898
Ge: 0.0000 0.1254 0.4474
Ge: 0.0000 0.4474 0.1254
H: 0.5000 0.6838 0.6838

Most intense lines, 2θ from 10° to 90°, by angle:
2θ/deg	Rel. int.
40.02	100
40.32	58
42.28	48
42.75	28
43.08	34
43.46	41

---

(2)
Theoretical powder diffractogram
Compound: CuTc2Br8
Radiation: λ = 1.5418 Å (Cu Kα)
Structure: the PBE geometry in Alexandria
Lines closer than 0.1° are merged.

Cell and atoms:
Lattice parameters (Å, degrees): 8.0202 8.0202 6.7962 92.64 92.64 75.99
Sites, in units of the cell vectors:
Cu: 0.0000 0.0000 0.0000
Tc: 0.2066 0.2066 0.6587
Tc: 0.7934 0.7934 0.3413
Br: 0.0630 0.7107 0.1823
Br: 0.1664 0.1664 0.3139
Br: 0.2893 0.9370 0.8177
Br: 0.3880 0.3880 0.7622
Br: 0.6120 0.6120 0.2378
Br: 0.7107 0.0630 0.1823
Br: 0.8336 0.8336 0.6861
Br: 0.9370 0.2893 0.8177

Most intense lines, 2θ from 10° to 90°, by angle:
2θ/deg	Rel. int.
11.38	77
17.65	58
17.97	62
26.00	100
36.69	49
45.28	42